1.
This entry pairs a crystal structure of CeAg3F8 with its calculated XRD peak list. Radiation: Cu Ka. Structure: a structure optimized by DFT (GGA-PBE).
Kinematic intensities with the Lorentz-polarization factor, no thermal factor.

Cell and atoms:
```
data_CeAg3F8
_space_group_name_H-M_alt 'P m -3 m'
_space_group_IT_number 221
_space_group_name_Hall '-P 4 2 3'
_cell_length_a 5.6408
_cell_length_b 5.6408
_cell_length_c 5.6408
_cell_angle_alpha 90.00
_cell_angle_beta 90.00
_cell_angle_gamma 90.00
loop_
_atom_site_label
_atom_site_fract_x
_atom_site_fract_y
_atom_site_fract_z
Ce1 0.0000 0.0000 0.0000
Ag1 0.0000 0.5000 0.5000
F1 0.2359 0.2359 0.2359
```

Largest 8 diffraction maxima, by intensity, 2θ = 10–90°:
27.39°, I = 100
45.48°, I = 62
53.91°, I = 43
31.73°, I = 23
84.06°, I = 18
73.13°, I = 17
75.35°, I = 9
66.28°, I = 9

---

2.
This entry pairs a crystal structure of P5C7 with its calculated XRD peak list. Radiation: Cu Ka. Structure: a structure optimized by DFT (GGA-PBE).
Kinematic intensities with the Lorentz-polarization factor, no thermal factor.

Cell and atoms:
```
data_P5C7
_space_group_name_H-M_alt 'I 4 m m'
_space_group_IT_number 107
_space_group_name_Hall 'I 4 -2'
_cell_length_a 7.4306
_cell_length_b 7.4306
_cell_length_c 4.3925
_cell_angle_alpha 90.00
_cell_angle_beta 90.00
_cell_angle_gamma 90.00
loop_
_atom_site_label
_atom_site_fract_x
_atom_site_fract_y
_atom_site_fract_z
P1 0.0000 0.0000 0.0000
P2 0.1988 0.1988 0.5207
C1 0.0000 0.0000 0.5929
C2 0.0000 0.3567 0.5144
C3 0.0000 0.5000 0.2664
```

Largest 8 diffraction maxima, by intensity, 2θ = 10–90°:
33.82°, I = 100
34.13°, I = 84
41.10°, I = 44
41.87°, I = 37
48.81°, I = 33
68.53°, I = 30
71.69°, I = 30
52.23°, I = 25

---

3.
This entry pairs a crystal structure of Sr2Al3CrAu12 with its calculated XRD peak list. Radiation: Cu Ka. Structure: a structure optimized by DFT (GGA-PBE).
Kinematic intensities with the Lorentz-polarization factor, no thermal factor.

Cell and atoms:
```
data_Sr2Al3CrAu12
_space_group_name_H-M_alt 'R -3 m'
_space_group_IT_number 166
_space_group_name_Hall '-R 3 2"'
_cell_length_a 8.6906
_cell_length_b 8.6906
_cell_length_c 19.8991
_cell_angle_alpha 90.00
_cell_angle_beta 90.00
_cell_angle_gamma 120.00
loop_
_atom_site_label
_atom_site_fract_x
_atom_site_fract_y
_atom_site_fract_z
Sr1 0.0000 0.0000 0.1141
Al1 0.0000 0.5000 0.0000
Cr1 0.0000 0.0000 0.5000
Au1 0.0029 0.5015 0.1256
Au2 0.0229 0.5114 0.3650
```

Largest 8 diffraction maxima, by intensity, 2θ = 10–90°:
29.77°, I = 100
41.57°, I = 51
43.62°, I = 41
51.96°, I = 22
68.63°, I = 17
21.41°, I = 15
61.83°, I = 14
77.27°, I = 14